Starting from a DFT-relaxed cell (PBE+U, the Materials Project), the powder diffractogram of Li9Mn2Co5O16 was simulated for λ = 1.5418 Å (Cu Kα).
Kinematic intensities with the Lorentz-polarization factor, no thermal factor.

Largest 10 diffraction maxima, low angle first, 5 to 70 degrees two-theta:
d/Å, intensity, index
4.799, 100, 0 1 1
2.531, 16, 2 1 0
2.452, 13, 0 1 -3
2.429, 12, 2 -1 2
2.119, 29, 2 2 1
2.038, 26, 0 0 4
2.018, 25, 2 -2 1
1.896, 9, 2 1 4
1.471, 7, 2 2 5
1.467, 15, 2 2 -3

Cell and atoms:
abc: 5.8274 5.8766 8.6289
angles: 88.25 70.91 87.21
Atoms (fractional coordinates):
1 Li 0.0000 0.0000 0.0000
2 Li 0.0019 0.5015 0.9985
3 Li 0.1172 0.7475 0.2403
4 Li 0.2528 0.5009 0.4918
5 Li 0.3646 0.2546 0.7497
6 Li 0.4927 0.0001 0.9988
7 Li 0.6340 0.7474 0.2410
8 Li 0.7487 0.4976 0.4887
9 Li 0.8793 0.2530 0.7475
10 Mn 0.4968 0.5004 0.9974
11 Mn 0.8724 0.7455 0.7461
12 Co 0.1232 0.2543 0.2444
13 Co 0.2459 0.0004 0.4938
14 Co 0.3680 0.7473 0.7447
15 Co 0.6343 0.2563 0.2413
16 Co 0.7435 0.9970 0.4926
17 O 0.0148 0.2348 0.4874
18 O 0.1139 0.9727 0.7380
19 O 0.1263 0.5284 0.7426
20 O 0.2663 0.2713 0.0044
21 O 0.2687 0.7410 0.9815
22 O 0.3552 0.0197 0.2583
23 O 0.4011 0.4992 0.2306
24 O 0.4725 0.7639 0.5071
25 O 0.5168 0.2372 0.4848
26 O 0.6174 0.9729 0.7320
27 O 0.6245 0.5204 0.7539
28 O 0.7342 0.2585 0.0039
29 O 0.7400 0.7344 0.9793
30 O 0.8552 0.0082 0.2547
31 O 0.8905 0.4833 0.2459
32 O 0.9727 0.7591 0.5074